No. 1
Calculated X-ray diffraction stick pattern
Compound: Rb2NdPuSe4
Radiation: Cu Ka
Structure: DFT lattice parameters and positions (GGA-PBE)

Crystal structure
a b c (Å): 7.5519 4.3546 8.3720
angles (deg): 90.00 107.51 90.00
Atoms (fractional coordinates):
Rb 0.0000 0.0000 0.0000
Rb 0.5000 0.5000 0.0000
Nd 0.0000 0.5000 0.5000
Pu 0.5000 0.0000 0.5000
Se 0.2363 0.0000 0.7003
Se 0.2727 0.5000 0.3043
Se 0.7273 0.5000 0.6957
Se 0.7637 0.0000 0.2997

Principal peaks in the range 2θ from 15° to 90°, sorted by position:
Position (°2θ)	Rel. int.
24.74	107
27.95	1000
35.41	137
38.38	347
41.45	369
50.73	191
57.75	122
63.18	114
67.51	162
73.55	153



No. 2
Calculated X-ray diffraction stick pattern
Compound: Mg5In3Sn3
Radiation: Cu Ka
Structure: DFT lattice parameters and positions (GGA-PBE)

Crystal structure
a b c (Å): 9.0578 9.0578 4.5484
angles (deg): 90.28 90.28 60.30
Atoms (fractional coordinates):
Mg 0.0000 0.0000 0.0000
Mg 0.2066 0.5868 0.9846
Mg 0.4132 0.7934 0.0154
Mg 0.5436 0.1239 0.0094
Mg 0.8761 0.4564 0.9906
In 0.2103 0.3702 0.4851
In 0.6298 0.7897 0.5149
In 0.7851 0.2149 0.5000
Sn 0.2092 0.1622 0.9810
Sn 0.5766 0.4234 0.0000
Sn 0.8378 0.7908 0.0190

Principal peaks in the range 2θ from 15° to 90°, sorted by position:
Position (°2θ)	Rel. int.
19.57	644
22.60	383
27.73	1000
27.87	472
34.19	255
36.07	500
36.24	214
39.63	391
44.53	214
46.09	357



No. 3
Calculated X-ray diffraction stick pattern
Compound: Sr2BiBr
Radiation: Cu Ka
Structure: DFT lattice parameters and positions (GGA-PBE)

Crystal structure
a b c (Å): 10.6317 10.6317 8.2789
angles (deg): 104.59 104.59 127.04
Atoms (fractional coordinates):
Sr 0.0565 0.4310 0.7662
Sr 0.1804 0.3035 0.2327
Sr 0.3035 0.1804 0.7327
Sr 0.4310 0.0565 0.2662
Sr 0.5690 0.9435 0.7338
Sr 0.6965 0.8196 0.2673
Sr 0.8196 0.6965 0.7673
Sr 0.9435 0.5690 0.2338
Bi 0.0586 0.9414 0.2500
Bi 0.3169 0.6831 0.2500
Bi 0.6831 0.3169 0.7500
Bi 0.9414 0.0586 0.7500
Br 0.1942 0.8058 0.7500
Br 0.4316 0.5684 0.7500
Br 0.5684 0.4316 0.2500
Br 0.8058 0.1942 0.2500

Principal peaks in the range 2θ from 15° to 90°, sorted by position:
Position (°2θ)	Rel. int.
26.09	536
26.54	1000
37.43	407
37.69	386
37.82	193
37.96	194
46.42	134
46.52	211
54.66	130
61.69	174



No. 4
Calculated X-ray diffraction stick pattern
Compound: PrNd8Ho3
Radiation: Cu Ka
Structure: DFT lattice parameters and positions (GGA-PBE)

Crystal structure
a b c (Å): 11.5419 11.5419 6.2989
angles (deg): 100.51 100.51 143.18
Atoms (fractional coordinates):
Pr 0.0000 0.0000 0.0000
Nd 0.1660 0.8340 0.0000
Nd 0.2491 0.7509 0.5000
Nd 0.3335 0.6665 0.0000
Nd 0.5007 0.4993 0.0000
Nd 0.5832 0.4168 0.5000
Nd 0.7489 0.2511 0.5000
Nd 0.8327 0.1673 0.0000
Nd 0.9171 0.0829 0.5000
Ho 0.0840 0.9160 0.5000
Ho 0.4165 0.5835 0.5000
Ho 0.6656 0.3344 0.0000

Principal peaks in the range 2θ from 15° to 90°, sorted by position:
Position (°2θ)	Rel. int.
30.03	1000
34.78	339
34.89	168
50.03	242
50.12	121
59.44	289
59.59	144
62.39	94
81.40	103
83.85	55



No. 5
Calculated X-ray diffraction stick pattern
Compound: Na2Sr7
Radiation: Cu Ka
Structure: DFT lattice parameters and positions (GGA-PBE)

Crystal structure
a b c (Å): 7.2567 7.2567 10.2387
angles (deg): 90.00 90.00 120.00
Atoms (fractional coordinates):
Na 0.3333 0.6667 0.0000
Na 0.6667 0.3333 0.0000
Sr 0.0000 0.0000 0.0000
Sr 0.0000 0.3367 0.6704
Sr 0.0000 0.6633 0.3296
Sr 0.3367 0.0000 0.6704
Sr 0.3367 0.3367 0.3296
Sr 0.6633 0.0000 0.3296
Sr 0.6633 0.6633 0.6704

Principal peaks in the range 2θ from 15° to 90°, sorted by position:
Position (°2θ)	Rel. int.
26.07	1000
30.19	511
43.22	378
51.17	447
53.59	99
69.13	138
71.18	84
71.28	80
79.23	95
85.13	102



No. 6
Calculated X-ray diffraction stick pattern
Compound: UHgPO6
Radiation: Cu Ka
Structure: DFT lattice parameters and positions (GGA-PBE)

Crystal structure
a b c (Å): 5.2993 5.2993 4.9377
angles (deg): 90.00 90.00 120.00
Atoms (fractional coordinates):
U 0.0000 0.0000 0.0000
Hg 0.6667 0.3333 0.5000
P 0.3333 0.6667 0.0000
O 0.0693 0.3905 0.2003
O 0.0693 0.6788 0.7997
O 0.3212 0.3905 0.7997
O 0.3212 0.9307 0.2003
O 0.6095 0.6788 0.2003
O 0.6095 0.9307 0.7997

Principal peaks in the range 2θ from 15° to 90°, sorted by position:
Position (°2θ)	Rel. int.
19.34	179
26.52	1000
33.83	340
43.49	267
50.53	304
56.21	264
59.68	108
60.52	95
77.43	107
80.43	97



No. 7
Calculated X-ray diffraction stick pattern
Compound: LiLuCd
Radiation: Cu Ka
Structure: DFT lattice parameters and positions (GGA-PBE)

Crystal structure
a b c (Å): 4.9388 4.9388 3.1876
angles (deg): 90.00 90.00 120.00
Atoms (fractional coordinates):
Li 0.0000 0.0000 0.0000
Lu 0.6667 0.3333 0.5000
Cd 0.3333 0.6667 0.0000

Principal peaks in the range 2θ from 15° to 90°, sorted by position:
Position (°2θ)	Rel. int.
20.77	642
35.11	1000
36.38	615
42.26	103
51.46	335
56.96	86
64.65	334
65.47	109
70.30	176
87.80	149



No. 8
Calculated X-ray diffraction stick pattern
Compound: LiAcMgAg6
Radiation: Cu Ka
Structure: DFT lattice parameters and positions (GGA-PBE)

Crystal structure
a b c (Å): 8.2387 8.2387 8.2387
angles (deg): 127.27 111.20 91.88
Atoms (fractional coordinates):
Li 0.0000 0.0000 0.0000
Li 0.5000 0.0000 0.5000
Ac 0.4564 0.2064 0.2500
Ac 0.5436 0.7936 0.7500
Mg 0.0000 0.0000 0.5000
Mg 0.0000 0.5000 0.0000
Ag 0.1222 0.4295 0.3045
Ag 0.1222 0.8177 0.6927
Ag 0.1709 0.9209 0.2500
Ag 0.2448 0.4948 0.7500
Ag 0.3750 0.1823 0.8045
Ag 0.3750 0.5705 0.1927
Ag 0.6250 0.4295 0.8073
Ag 0.6250 0.8177 0.1955
Ag 0.7552 0.5052 0.2500
Ag 0.8291 0.0791 0.7500
Ag 0.8778 0.1823 0.3073
Ag 0.8778 0.5705 0.6955

Principal peaks in the range 2θ from 15° to 90°, sorted by position:
Position (°2θ)	Rel. int.
25.20	184
27.32	158
31.09	1000
32.71	429
34.99	204
35.31	218
36.84	446
38.69	411
39.97	209
44.05	184



No. 9
Calculated X-ray diffraction stick pattern
Compound: SrLiMg6Ag
Radiation: Cu Ka
Structure: DFT lattice parameters and positions (GGA-PBE)

Crystal structure
a b c (Å): 8.9193 8.9193 8.9193
angles (deg): 129.61 112.44 88.89
Atoms (fractional coordinates):
Sr 0.4490 0.1990 0.2500
Sr 0.5510 0.8010 0.7500
Li 0.0000 0.0000 0.5000
Li 0.0000 0.5000 0.0000
Mg 0.1174 0.4257 0.2946
Mg 0.1174 0.8228 0.6918
Mg 0.1702 0.9202 0.2500
Mg 0.2529 0.5029 0.7500
Mg 0.3690 0.1772 0.7946
Mg 0.3690 0.5743 0.1918
Mg 0.6310 0.4257 0.8082
Mg 0.6310 0.8228 0.2054
Mg 0.7471 0.4971 0.2500
Mg 0.8298 0.0798 0.7500
Mg 0.8826 0.1772 0.3082
Mg 0.8826 0.5743 0.7054
Ag 0.0000 0.0000 0.0000
Ag 0.5000 0.0000 0.5000

Principal peaks in the range 2θ from 15° to 90°, sorted by position:
Position (°2θ)	Rel. int.
22.74	521
23.43	236
30.11	1000
31.78	194
32.88	367
36.21	583
36.84	283
40.64	177
41.24	197
52.62	247



No. 10
Calculated X-ray diffraction stick pattern
Compound: LaGdH
Radiation: Cu Ka
Structure: DFT lattice parameters and positions (GGA-PBE)

Crystal structure
a b c (Å): 3.7000 3.7000 5.9500
angles (deg): 90.00 90.00 120.00
Atoms (fractional coordinates):
La 0.0000 0.0000 0.0000
Gd 0.3333 0.6667 0.4849
H 0.6667 0.3333 0.2612

Principal peaks in the range 2θ from 15° to 90°, sorted by position:
Position (°2θ)	Rel. int.
27.84	231
30.04	251
31.72	1000
41.42	168
49.25	196
54.40	215
58.77	226
59.78	163
81.02	137
83.37	83



No. 11
Calculated X-ray diffraction stick pattern
Compound: PmH3Pd6
Radiation: Cu Ka
Structure: DFT lattice parameters and positions (GGA-PBE)

Crystal structure
a b c (Å): 5.4973 5.6256 5.6265
angles (deg): 81.49 62.12 61.59
Atoms (fractional coordinates):
Pm 0.0000 0.0000 0.0000
H 0.3135 0.2611 0.7096
H 0.4921 0.6799 0.3186
H 0.6691 0.3786 0.7897
Pd 0.2426 0.5226 0.4856
Pd 0.2861 0.0357 0.3931
Pd 0.2885 0.4085 0.9987
Pd 0.7091 0.6122 0.9622
Pd 0.7138 0.0036 0.5812
Pd 0.7527 0.5140 0.4707

Principal peaks in the range 2θ from 15° to 90°, sorted by position:
Position (°2θ)	Rel. int.
32.44	330
32.59	416
34.10	498
36.29	1000
36.48	935
37.02	349
37.20	354
37.80	697
40.24	477
40.43	495



No. 12
Calculated X-ray diffraction stick pattern
Compound: CdGePRuPt
Radiation: Cu Ka
Structure: DFT lattice parameters and positions (GGA-PBE)

Crystal structure
a b c (Å): 4.3671 4.6725 4.7571
angles (deg): 73.04 82.82 76.58
Atoms (fractional coordinates):
Cd 0.0000 0.0000 0.0000
Ge 0.7496 0.6194 0.8142
P 0.3973 0.2581 0.3858
Ru 0.8630 0.4026 0.3731
Pt 0.2715 0.7742 0.5233

Principal peaks in the range 2θ from 15° to 90°, sorted by position:
Position (°2θ)	Rel. int.
19.55	482
20.31	473
26.08	1000
29.70	497
32.04	592
35.65	724
40.30	638
40.63	809
41.58	689
46.13	472



No. 13
Calculated X-ray diffraction stick pattern
Compound: Pm2FeGe6Ru
Radiation: Cu Ka
Structure: DFT lattice parameters and positions (GGA-PBE)

Crystal structure
a b c (Å): 9.9699 9.9699 9.9699
angles (deg): 43.54 43.54 43.54
Atoms (fractional coordinates):
Pm 0.1362 0.1362 0.1362
Pm 0.2899 0.2899 0.2899
Pm 0.7101 0.7101 0.7101
Pm 0.8638 0.8638 0.8638
Fe 0.3951 0.3951 0.3951
Fe 0.6049 0.6049 0.6049
Ge 0.1306 0.6086 0.6086
Ge 0.2096 0.2096 0.7330
Ge 0.2096 0.7330 0.2096
Ge 0.2670 0.7904 0.7904
Ge 0.3914 0.3914 0.8694
Ge 0.3914 0.8694 0.3914
Ge 0.6086 0.1306 0.6086
Ge 0.6086 0.6086 0.1306
Ge 0.7330 0.2096 0.2096
Ge 0.7904 0.2670 0.7904
Ge 0.7904 0.7904 0.2670
Ge 0.8694 0.3914 0.3914
Ru 0.0000 0.0000 0.0000
Ru 0.5000 0.5000 0.5000

Principal peaks in the range 2θ from 15° to 90°, sorted by position:
Position (°2θ)	Rel. int.
24.07	732
26.96	225
28.65	219
31.30	207
32.50	1000
36.45	927
38.74	320
43.83	254
49.29	960
65.29	219